Diffraction record for BeCrAs2. The powder diffraction line list is calculated, not measured: it uses a DFT-relaxed cell (GGA-PBE, Alexandria) and Cu Ka.
Intensities are scaled so that the largest is 100.

Structure:
Cell lengths 3.1548, 3.3269, 11.7475 Å; angles 90.00, 90.00, 90.00 degrees
Space group Imm2 (No. 44)
One atom of each set of equivalent atoms:
Be (0.0000, 0.0000, 0.0000) (multiplicity 2)
Cr (0.0000, 0.5000, 0.1417) (multiplicity 2)
As (0.0000, 0.0000, 0.4759) (multiplicity 2)
As (0.0000, 0.5000, 0.7300) (multiplicity 2)

Top 10 peaks for 15 to 90 degrees two-theta, by angle:
| two_theta | d/Å | I_rel |
| --- | --- | --- |
| 15.08 | 5.874 | 24.5 |
| 27.87 | 3.201 | 47.9 |
| 30.44 | 2.937 | 31.9 |
| 35.40 | 2.535 | 13.3 |
| 36.58 | 2.457 | 49.8 |
| 42.38 | 2.133 | 100.0 |
| 47.37 | 1.919 | 27.4 |
| 48.30 | 1.884 | 14.6 |
| 55.22 | 1.663 | 13.9 |
| 68.07 | 1.377 | 15.0 |